# 1
The following is a simulated X-ray diffraction stick pattern of La3Bi4Au3. It was derived from DFT lattice parameters and positions (PBE), using CuKα.

Structural model:
Cell lengths 9.048, 9.048, 9.048 Å; angles 109.47, 109.47, 109.47 degrees
Positions (direct):
1 La 0.125 0.875 0.250
2 La 0.250 0.125 0.875
3 La 0.375 0.625 0.750
4 La 0.625 0.750 0.375
5 La 0.750 0.375 0.625
6 La 0.875 0.250 0.125
7 Bi 0.000 0.174 0.500
8 Bi 0.000 0.674 0.500
9 Bi 0.174 0.500 0.000
10 Bi 0.326 0.326 0.326
11 Bi 0.500 0.000 0.174
12 Bi 0.500 0.000 0.674
13 Bi 0.674 0.500 0.000
14 Bi 0.826 0.826 0.826
15 Au 0.125 0.750 0.875
16 Au 0.250 0.625 0.375
17 Au 0.375 0.250 0.625
18 Au 0.625 0.375 0.250
19 Au 0.750 0.875 0.125
20 Au 0.875 0.125 0.750

Top 8 peaks for 10° ≤ 2θ ≤ 80°, in order of falling intensity:
2θ = 32.05°, intensity 100; 2θ = 38.53°, intensity 29; 2θ = 44.20°, intensity 22; 2θ = 20.82°, intensity 19; 2θ = 42.38°, intensity 17; 2θ = 55.63°, intensity 12; 2θ = 47.67°, intensity 11; 2θ = 26.99°, intensity 10


# 2
The following is a simulated X-ray diffraction stick pattern of Li2BiAu. It was derived from DFT lattice parameters and positions (PBE), using CuKα.

Structural model:
Cell lengths 8.364, 7.248, 5.744 Å; angles 90.00, 90.00, 90.00 degrees
Positions (direct):
1 Li 0.178 0.198 0.250
2 Li 0.178 0.802 0.750
3 Li 0.322 0.302 0.750
4 Li 0.322 0.698 0.250
5 Li 0.678 0.302 0.750
6 Li 0.678 0.698 0.250
7 Li 0.822 0.198 0.250
8 Li 0.822 0.802 0.750
9 Bi 0.000 0.164 0.750
10 Bi 0.000 0.836 0.250
11 Bi 0.500 0.336 0.250
12 Bi 0.500 0.664 0.750
13 Au 0.000 0.500 0.000
14 Au 0.000 0.500 0.500
15 Au 0.500 0.000 0.000
16 Au 0.500 0.000 0.500

Top 8 peaks for 10° ≤ 2θ ≤ 80°, in order of falling intensity:
2θ = 21.25°, intensity 100; 2θ = 35.29°, intensity 68; 2θ = 22.43°, intensity 66; 2θ = 38.80°, intensity 47; 2θ = 45.78°, intensity 30; 2θ = 47.13°, intensity 30; 2θ = 40.06°, intensity 24; 2θ = 36.34°, intensity 23


# 3
The following is a simulated X-ray diffraction stick pattern of Li2BiAu. It was derived from DFT lattice parameters and positions (PBE), using CuKα.

Structural model:
Cell lengths 6.813, 6.813, 6.813 Å; angles 90.00, 90.00, 90.00 degrees
Positions (direct):
1 Li 0.000 0.000 0.000
2 Li 0.000 0.500 0.500
3 Li 0.250 0.250 0.250
4 Li 0.250 0.750 0.750
5 Li 0.500 0.000 0.500
6 Li 0.500 0.500 0.000
7 Li 0.750 0.250 0.750
8 Li 0.750 0.750 0.250
9 Bi 0.000 0.000 0.500
10 Bi 0.000 0.500 0.000
11 Bi 0.500 0.000 0.000
12 Bi 0.500 0.500 0.500
13 Au 0.250 0.250 0.750
14 Au 0.250 0.750 0.250
15 Au 0.750 0.250 0.250
16 Au 0.750 0.750 0.750

Top 8 peaks for 10° ≤ 2θ ≤ 80°, in order of falling intensity:
2θ = 22.60°, intensity 100; 2θ = 37.33°, intensity 95; 2θ = 44.08°, intensity 54; 2θ = 67.33°, intensity 35; 2θ = 59.11°, intensity 23; 2θ = 72.03°, intensity 18; 2θ = 53.82°, intensity 17; 2θ = 79.60°, intensity 11


# 4
The following is a simulated X-ray diffraction stick pattern of Na2BiAu. It was derived from DFT lattice parameters and positions (PBE), using CuKα.

Structural model:
Cell lengths 9.581, 7.635, 6.067 Å; angles 90.00, 90.00, 90.00 degrees
Positions (direct):
1 Na 0.181 0.180 0.250
2 Na 0.181 0.820 0.750
3 Na 0.319 0.320 0.750
4 Na 0.319 0.680 0.250
5 Na 0.681 0.320 0.750
6 Na 0.681 0.680 0.250
7 Na 0.819 0.180 0.250
8 Na 0.819 0.820 0.750
9 Bi 0.000 0.190 0.750
10 Bi 0.000 0.810 0.250
11 Bi 0.500 0.310 0.250
12 Bi 0.500 0.690 0.750
13 Au 0.000 0.500 0.000
14 Au 0.000 0.500 0.500
15 Au 0.500 0.000 0.000
16 Au 0.500 0.000 0.500

Top 8 peaks for 10° ≤ 2θ ≤ 80°, in order of falling intensity:
2θ = 18.52°, intensity 100; 2θ = 20.87°, intensity 66; 2θ = 33.12°, intensity 57; 2θ = 36.53°, intensity 45; 2θ = 42.48°, intensity 40; 2θ = 33.82°, intensity 37; 2θ = 37.88°, intensity 36; 2θ = 14.84°, intensity 30